Sn3AsAu2: computed X-ray powder pattern (Cu Ka), based on the GGA-PBE geometry in Alexandria.
Kinematic intensities with the Lorentz-polarization factor, no thermal factor.

Crystal structure
```
Sn3AsAu2
1.0
11.7477 0.0000 0.0000
0.0000 3.9914 0.0000
0.0000 0.0000 12.3896
Sn As Au
12 4 8
Direct
0.0894 0.2500 0.0944
0.1156 0.7500 0.5675
0.1439 0.2500 0.7666
0.3561 0.7500 0.2666
0.3844 0.2500 0.0675
0.4106 0.7500 0.5944
0.5894 0.2500 0.4056
0.6156 0.7500 0.9325
0.6439 0.2500 0.7334
0.8561 0.7500 0.2334
0.8844 0.2500 0.4325
0.9106 0.7500 0.9056
0.1280 0.2500 0.4065
0.3720 0.7500 0.9065
0.6280 0.2500 0.0935
0.8720 0.7500 0.5935
0.1050 0.7500 0.2549
0.1462 0.7500 0.9328
0.3538 0.2500 0.4328
0.3950 0.2500 0.7549
0.6050 0.7500 0.2451
0.6462 0.7500 0.5672
0.8538 0.2500 0.0672
0.8950 0.2500 0.7451
```

Largest 10 diffraction maxima, in order of rising 2θ, 10° ≤ 2θ ≤ 90°:
30.44 deg, I = 42
31.16 deg, I = 100
43.84 deg, I = 16
44.12 deg, I = 58
45.44 deg, I = 23
54.31 deg, I = 13
55.68 deg, I = 16
64.99 deg, I = 11
73.44 deg, I = 11
83.05 deg, I = 11

=====

CeTmTl2: computed X-ray powder pattern (Cu Ka), based on the GGA-PBE geometry in Alexandria.
Kinematic intensities with the Lorentz-polarization factor, no thermal factor.

Crystal structure
```
CeTmTl2
1.0
3.5806 0.0000 0.0000
0.0000 3.5806 0.0000
0.0000 0.0000 8.6306
Ce Tm Tl
1 1 2
Direct
0.0000 0.0000 0.0000
0.0000 0.0000 0.5000
0.5000 0.5000 0.2605
0.5000 0.5000 0.7395
```

Largest 10 diffraction maxima, in order of rising 2θ, 10° ≤ 2θ ≤ 90°:
32.49 deg, I = 100
35.45 deg, I = 40
41.87 deg, I = 12
51.01 deg, I = 14
56.00 deg, I = 21
61.80 deg, I = 32
68.05 deg, I = 12
70.56 deg, I = 10
84.16 deg, I = 7
85.82 deg, I = 7

=====

Na2MgSeO4: computed X-ray powder pattern (Cu Ka), based on the GGA-PBE geometry in Alexandria.
Kinematic intensities with the Lorentz-polarization factor, no thermal factor.

Crystal structure
```
Na2MgSeO4
1.0
-3.0548 3.0548 2.7983
3.0548 -3.0548 2.7983
3.0548 3.0548 -2.7983
Na Mg Se O
2 1 1 4
Direct
0.0000 0.5000 0.5000
0.5000 0.0000 0.5000
0.0000 0.0000 0.0000
0.5000 0.5000 0.0000
0.0937 0.0937 0.6721
0.4216 0.4216 0.3279
0.5784 0.9063 0.0000
0.9063 0.5784 0.0000
```

Largest 10 diffraction maxima, in order of rising 2θ, 10° ≤ 2θ ≤ 90°:
20.56 deg, I = 65
21.53 deg, I = 61
29.23 deg, I = 69
36.60 deg, I = 53
41.82 deg, I = 49
43.88 deg, I = 100
53.60 deg, I = 32
68.71 deg, I = 20
70.20 deg, I = 23
77.80 deg, I = 20

=====

Nb2CrSi6: computed X-ray powder pattern (Cu Ka), based on the GGA-PBE geometry in Alexandria.
Kinematic intensities with the Lorentz-polarization factor, no thermal factor.

Crystal structure
```
Nb2CrSi6
1.0
2.3351 -4.1234 0.0000
2.3351 4.1234 0.0000
0.0000 0.0000 6.5073
Nb Cr Si
2 1 6
Direct
0.0000 0.5000 0.1656
0.5000 0.0000 0.8344
0.0000 0.0000 0.5000
0.1766 0.3314 0.8253
0.3314 0.1766 0.1747
0.3408 0.6592 0.5000
0.6592 0.3408 0.5000
0.6686 0.8234 0.1747
0.8234 0.6686 0.8253
```

Largest 10 diffraction maxima, in order of rising 2θ, 10° ≤ 2θ ≤ 90°:
25.58 deg, I = 20
25.85 deg, I = 58
35.34 deg, I = 28
40.52 deg, I = 100
41.07 deg, I = 39
41.64 deg, I = 48
47.47 deg, I = 60
47.95 deg, I = 26
70.18 deg, I = 19
71.09 deg, I = 18

=====

Copy entry 3 word for word.
Na2MgSeO4: computed X-ray powder pattern (Cu Ka), based on the GGA-PBE geometry in Alexandria.
Kinematic intensities with the Lorentz-polarization factor, no thermal factor.

Crystal structure
```
Na2MgSeO4
1.0
-3.0548 3.0548 2.7983
3.0548 -3.0548 2.7983
3.0548 3.0548 -2.7983
Na Mg Se O
2 1 1 4
Direct
0.0000 0.5000 0.5000
0.5000 0.0000 0.5000
0.0000 0.0000 0.0000
0.5000 0.5000 0.0000
0.0937 0.0937 0.6721
0.4216 0.4216 0.3279
0.5784 0.9063 0.0000
0.9063 0.5784 0.0000
```

Largest 10 diffraction maxima, in order of rising 2θ, 10° ≤ 2θ ≤ 90°:
20.56 deg, I = 65
21.53 deg, I = 61
29.23 deg, I = 69
36.60 deg, I = 53
41.82 deg, I = 49
43.88 deg, I = 100
53.60 deg, I = 32
68.71 deg, I = 20
70.20 deg, I = 23
77.80 deg, I = 20

=====

Please write out number 3 again, unchanged.
Na2MgSeO4: computed X-ray powder pattern (Cu Ka), based on the GGA-PBE geometry in Alexandria.
Kinematic intensities with the Lorentz-polarization factor, no thermal factor.

Crystal structure
```
Na2MgSeO4
1.0
-3.0548 3.0548 2.7983
3.0548 -3.0548 2.7983
3.0548 3.0548 -2.7983
Na Mg Se O
2 1 1 4
Direct
0.0000 0.5000 0.5000
0.5000 0.0000 0.5000
0.0000 0.0000 0.0000
0.5000 0.5000 0.0000
0.0937 0.0937 0.6721
0.4216 0.4216 0.3279
0.5784 0.9063 0.0000
0.9063 0.5784 0.0000
```

Largest 10 diffraction maxima, in order of rising 2θ, 10° ≤ 2θ ≤ 90°:
20.56 deg, I = 65
21.53 deg, I = 61
29.23 deg, I = 69
36.60 deg, I = 53
41.82 deg, I = 49
43.88 deg, I = 100
53.60 deg, I = 32
68.71 deg, I = 20
70.20 deg, I = 23
77.80 deg, I = 20